[1]
NdTl3: computed powder diffractogram (Cu Kα, 1.54184 Å), based on a structure optimized by DFT (GGA-PBE).
No peak broadening, texture or thermal motion is included.

Most intense lines, 10° ≤ 2θ ≤ 90°, in order of rising 2θ:
2θ (°)  I (rel.)  index
18.32  1  1 0 0
26.02  1  1 1 0
32.01  100  1 1 1
37.14  51  2 0 0
41.71  1  2 1 0
53.53  36  2 2 0
63.75  43  3 1 1
66.94  12  2 2 2
79.11  6  4 0 0
87.89  18  3 3 1

Crystal structure
a b c (Å): 4.842 4.842 4.842
angles (deg): 90.00 90.00 90.00
Space group Pm-3m (No. 221)
Inequivalent atoms, fractional coordinates:
Nd: 0.000 0.000 0.000 x1
Tl: 0.000 0.500 0.500 x3

=====

[2]
Nd3Tl: computed powder diffractogram (Cu Kα, 1.54184 Å), based on a structure optimized by DFT (GGA-PBE).
No peak broadening, texture or thermal motion is included.

Most intense lines, 10° ≤ 2θ ≤ 90°, in order of rising 2θ:
2θ (°)  I (rel.)  index
17.74  2  1 0 0
25.18  2  1 1 0
30.97  100  1 1 1
35.91  51  2 0 0
51.70  36  2 2 0
61.50  43  3 1 1
64.55  12  2 2 2
76.14  6  4 0 0
84.43  18  3 3 1
87.16  17  4 2 0

Crystal structure
a b c (Å): 5.001 5.001 5.001
angles (deg): 90.00 90.00 90.00
Space group Pm-3m (No. 221)
Inequivalent atoms, fractional coordinates:
Nd: 0.000 0.000 0.500 x3
Tl: 0.500 0.500 0.500 x1

=====

[3]
Nd2Tl: computed powder diffractogram (Cu Kα, 1.54184 Å), based on a structure optimized by DFT (GGA-PBE).
No peak broadening, texture or thermal motion is included.

Most intense lines, 10° ≤ 2θ ≤ 90°, in order of rising 2θ:
2θ (°)  I (rel.)  index
31.63  87  1 0 2
32.03  100  1 1 0
41.41  17  1 1 2
45.63  32  2 0 2
56.84  33  2 1 2
57.09  20  3 0 0
62.84  29  1 1 4
66.97  12  2 2 0
75.96  14  3 1 2
81.25  14  3 0 4

Crystal structure
a b c (Å): 5.5890 5.5890 6.9718
angles (deg): 90.00 90.00 120.00
Space group P6_3/mmc (No. 194)
Inequivalent atoms, fractional coordinates:
Nd: 0.0000 0.0000 0.0000 x2
Nd: 0.3333 0.6667 0.2500 x2
Tl: 0.3333 0.6667 0.7500 x2

=====

[4]
NdTl: computed powder diffractogram (Cu Kα, 1.54184 Å), based on a structure optimized by DFT (GGA-PBE).
No peak broadening, texture or thermal motion is included.

Most intense lines, 10° ≤ 2θ ≤ 90°, in order of rising 2θ:
2θ (°)  I (rel.)  index
22.73  3  1 0 0
32.37  100  1 1 0
39.92  1  1 1 1
46.43  19  2 0 0
52.29  1  2 1 0
57.73  39  2 1 1
67.75  12  2 2 0
72.49  1  3 0 0
77.10  17  3 1 0
86.11  4  2 2 2

Crystal structure
a b c (Å): 3.912 3.912 3.912
angles (deg): 90.00 90.00 90.00
Space group Pm-3m (No. 221)
Inequivalent atoms, fractional coordinates:
Nd: 0.000 0.000 0.000 x1
Tl: 0.500 0.500 0.500 x1

=====

[5]
Nd5Tl3: computed powder diffractogram (Cu Kα, 1.54184 Å), based on a structure optimized by DFT (GGA-PBE).
No peak broadening, texture or thermal motion is included.

Most intense lines, 10° ≤ 2θ ≤ 90°, in order of rising 2θ:
2θ (°)  I (rel.)  index
28.07  20  0 0 2
29.15  50  3 2 1
31.52  62  2 0 2
31.75  70  4 2 0
32.50  100  4 1 1
34.66  31  2 2 2
40.30  24  4 0 2
41.10  27  5 2 1
52.54  26  4 1 3
60.45  25  6 4 2

Crystal structure
a b c (Å): 12.603 12.603 6.358
angles (deg): 90.00 90.00 90.00
Space group I4/mcm (No. 140)
Inequivalent atoms, fractional coordinates:
Nd: 0.000 0.500 0.250 x4
Nd: 0.086 0.217 0.000 x16
Tl: 0.000 0.000 0.250 x4
Tl: 0.160 0.340 0.500 x8

=====

[6]
NdTmTl2: computed powder diffractogram (Cu Kα, 1.54184 Å), based on a structure optimized by DFT (GGA-PBE).
No peak broadening, texture or thermal motion is included.

Most intense lines, 10° ≤ 2θ ≤ 90°, in order of rising 2θ:
2θ (°)  I (rel.)  index
23.18  2  2 0 0
33.02  100  2 2 0
40.73  1  2 2 2
47.39  18  4 0 0
53.39  1  4 2 0
58.96  39  4 2 2
69.26  12  4 4 0
78.89  17  6 2 0
88.22  4  4 4 4

Crystal structure
a b c (Å): 7.674 7.674 7.674
angles (deg): 90.00 90.00 90.00
Space group Fm-3m (No. 225)
Inequivalent atoms, fractional coordinates:
Nd: 0.000 0.000 0.000 x4
Tm: 0.000 0.000 0.500 x4
Tl: 0.250 0.250 0.250 x8

=====

[7]
NdTm3: computed powder diffractogram (Cu Kα, 1.54184 Å), based on a structure optimized by DFT (GGA-PBE).
No peak broadening, texture or thermal motion is included.

Most intense lines, 10° ≤ 2θ ≤ 90°, in order of rising 2θ:
2θ (°)  I (rel.)  index
28.63  24  2 0 0
31.50  25  0 0 2
32.77  100  2 0 1
43.09  16  2 0 2
50.72  20  2 2 0
56.90  21  2 0 3
60.94  23  2 2 2
61.71  16  4 0 1
83.86  14  4 2 1
87.51  9  2 2 4

Crystal structure
a b c (Å): 7.1995 7.1995 5.6794
angles (deg): 90.00 90.00 120.00
Space group P6_3/mmc (No. 194)
Inequivalent atoms, fractional coordinates:
Nd: 0.3333 0.6667 0.2500 x2
Tm: 0.1644 0.3288 0.7500 x6

=====

[8]
NdTm: computed powder diffractogram (Cu Kα, 1.54184 Å), based on a structure optimized by DFT (GGA-PBE).
No peak broadening, texture or thermal motion is included.

Most intense lines, 10° ≤ 2θ ≤ 90°, in order of rising 2θ:
2θ (°)  I (rel.)  index
28.45  24  1 0 0
30.63  26  0 0 2
32.39  100  1 0 1
42.29  16  1 0 2
50.37  19  1 1 0
55.58  22  1 0 3
60.11  23  1 1 2
61.17  16  2 0 1
83.11  14  2 1 1
85.43  9  1 1 4

Crystal structure
a b c (Å): 3.6231 3.6231 5.8374
angles (deg): 90.00 90.00 120.00
Space group P-6m2 (No. 187)
Inequivalent atoms, fractional coordinates:
Nd: 0.0000 0.0000 0.0000 x1
Tm: 0.6667 0.3333 0.5000 x1

=====

[9]
Nd3Tm: computed powder diffractogram (Cu Kα, 1.54184 Å), based on a structure optimized by DFT (GGA-PBE).
No peak broadening, texture or thermal motion is included.

Most intense lines, 10° ≤ 2θ ≤ 90°, in order of rising 2θ:
2θ (°)  I (rel.)  index
28.14  23  2 0 0
30.04  26  0 0 2
31.98  100  2 0 1
41.62  16  2 0 2
49.80  19  2 2 0
54.57  22  2 0 3
59.26  23  2 2 2
60.41  16  4 0 1
82.00  14  4 2 1
83.78  9  2 2 4

Crystal structure
a b c (Å): 7.3241 7.3241 5.9501
angles (deg): 90.00 90.00 120.00
Space group P6_3/mmc (No. 194)
Inequivalent atoms, fractional coordinates:
Nd: 0.1680 0.3360 0.2500 x6
Tm: 0.3333 0.6667 0.7500 x2

=====

[10]
NdTm3: computed powder diffractogram (Cu Kα, 1.54184 Å), based on a structure optimized by DFT (GGA-PBE).
No peak broadening, texture or thermal motion is included.

Most intense lines, 10° ≤ 2θ ≤ 90°, in order of rising 2θ:
2θ (°)  I (rel.)  index
30.98  100  1 1 1
35.92  51  2 0 0
51.71  36  2 2 0
61.51  43  3 1 1
64.57  12  2 2 2
76.16  6  4 0 0
84.46  18  3 3 1
87.19  17  4 2 0

Crystal structure
a b c (Å): 5.000 5.000 5.000
angles (deg): 90.00 90.00 90.00
Space group Pm-3m (No. 221)
Inequivalent atoms, fractional coordinates:
Nd: 0.000 0.000 0.000 x1
Tm: 0.000 0.500 0.500 x3

=====

[11]
NdTmZn2: computed powder diffractogram (Cu Kα, 1.54184 Å), based on a structure optimized by DFT (GGA-PBE).
No peak broadening, texture or thermal motion is included.

Most intense lines, 10° ≤ 2θ ≤ 90°, in order of rising 2θ:
2θ (°)  I (rel.)  index
21.32  1  1 1 1
24.67  17  2 0 0
35.17  100  2 2 0
43.43  5  2 2 2
50.58  18  4 0 0
57.06  7  4 2 0
63.10  36  4 2 2
74.34  11  4 4 0
79.71  4  6 0 0
84.99  16  6 2 0

Crystal structure
a b c (Å): 7.218 7.218 7.218
angles (deg): 90.00 90.00 90.00
Space group Fm-3m (No. 225)
Inequivalent atoms, fractional coordinates:
Nd: 0.000 0.000 0.000 x4
Tm: 0.000 0.000 0.500 x4
Zn: 0.250 0.250 0.250 x8

=====

[12]
Nd3Y: computed powder diffractogram (Cu Kα, 1.54184 Å), based on a structure optimized by DFT (GGA-PBE).
No peak broadening, texture or thermal motion is included.

Most intense lines, 10° ≤ 2θ ≤ 90°, in order of rising 2θ:
2θ (°)  I (rel.)  index
27.92  23  2 0 0
29.81  26  0 0 2
31.73  100  2 0 1
41.30  16  2 0 2
49.40  19  2 2 0
54.14  22  2 0 3
58.77  23  2 2 2
59.92  16  4 0 1
81.25  13  4 2 1
83.03  8  2 2 4

Crystal structure
a b c (Å): 7.3796 7.3796 5.9937
angles (deg): 90.00 90.00 120.00
Space group P6_3/mmc (No. 194)
Inequivalent atoms, fractional coordinates:
Nd: 0.1673 0.3346 0.2500 x6
Y: 0.3333 0.6667 0.7500 x2

=====

[13]
Nd3Y: computed powder diffractogram (Cu Kα, 1.54184 Å), based on a structure optimized by DFT (GGA-PBE).
No peak broadening, texture or thermal motion is included.

Most intense lines, 10° ≤ 2θ ≤ 90°, in order of rising 2θ:
2θ (°)  I (rel.)  index
28.23  13  1 0 0
29.23  33  1 0 1
30.00  32  0 0 4
32.05  100  1 0 2
36.32  18  1 0 3
49.97  24  1 1 0
54.58  22  1 0 6
59.39  28  1 1 4
60.61  16  2 0 2
82.30  13  2 1 2

Crystal structure
a b c (Å): 3.6505 3.6505 11.9135
angles (deg): 90.00 90.00 120.00
Space group P-6m2 (No. 187)
Inequivalent atoms, fractional coordinates:
Nd: 0.0000 0.0000 0.0000 x1
Nd: 0.6667 0.3333 0.2536 x2
Y: 0.3333 0.6667 0.5000 x1

=====

[14]
Nd2Y: computed powder diffractogram (Cu Kα, 1.54184 Å), based on a structure optimized by DFT (GGA-PBE).
No peak broadening, texture or thermal motion is included.

Most intense lines, 10° ≤ 2θ ≤ 90°, in order of rising 2θ:
2θ (°)  I (rel.)  index
28.45  23  1 0 1
29.04  39  0 1 2
29.88  52  0 0 9
31.28  100  1 0 4
32.88  76  0 1 5
36.83  18  1 0 7
50.01  37  1 1 0
52.88  25  1 0 13
59.36  44  1 1 9
83.64  16  1 1 18

Crystal structure
a b c (Å): 3.6474 3.6474 26.9088
angles (deg): 90.00 90.00 120.00
Space group R-3m (No. 166, hexagonal axes)
Inequivalent atoms, fractional coordinates:
Nd: 0.0000 0.0000 0.2244 x6
Y: 0.0000 0.0000 0.0000 x3

=====

[15]
Nd4Zn11: computed powder diffractogram (Cu Kα, 1.54184 Å), based on a structure optimized by DFT (GGA-PBE).
No peak broadening, texture or thermal motion is included.

Most intense lines, 10° ≤ 2θ ≤ 90°, in order of rising 2θ:
2θ (°)  I (rel.)  index
15.19  31  1 0 1
26.16  19  3 2 1
29.38  17  1 1 2
33.88  100  4 3 1
37.09  38  6 0 0
38.60  46  3 3 2
45.95  17  7 0 1
53.01  18  7 1 2
53.46  14  6 6 0
60.46  16  7 6 1

Crystal structure
a b c (Å): 14.543 14.543 6.365
angles (deg): 90.00 90.00 90.00
Space group I4_1/amd (No. 141, origin choice 2)
Inequivalent atoms, fractional coordinates:
Nd: 0.000 0.097 0.402 x16
Zn: 0.000 0.000 0.000 x8
Zn: 0.000 0.250 0.875 x4
Zn: 0.156 0.046 0.688 x32